Diffraction record for BaPrGe4. The X-ray diffraction stick pattern is computed, not measured: it uses the PBE geometry in Alexandria and CuKα.
Intensities are scaled so that the largest is 100.

Cell: 8.2191 17.5700 4.5580 Å, 90.00 90.00 90.00°
Positions (direct):
Ba: 0.1332 0.1569 0.0000
Ba: 0.3668 0.6569 0.0000
Ba: 0.6332 0.3431 0.0000
Ba: 0.8668 0.8431 0.0000
Pr: 0.1331 0.4121 0.0000
Pr: 0.3669 0.9121 0.0000
Pr: 0.6331 0.0879 0.0000
Pr: 0.8669 0.5879 0.0000
Ge: 0.0139 0.6915 0.5000
Ge: 0.1173 0.9496 0.5000
Ge: 0.1301 0.5418 0.5000
Ge: 0.2031 0.8061 0.5000
Ge: 0.2969 0.3061 0.5000
Ge: 0.3699 0.0418 0.5000
Ge: 0.3827 0.4496 0.5000
Ge: 0.4861 0.1915 0.5000
Ge: 0.5139 0.8085 0.5000
Ge: 0.6173 0.5504 0.5000
Ge: 0.6301 0.9582 0.5000
Ge: 0.7031 0.6939 0.5000
Ge: 0.7969 0.1939 0.5000
Ge: 0.8699 0.4582 0.5000
Ge: 0.8827 0.0504 0.5000
Ge: 0.9861 0.3085 0.5000

Most intense lines, 5° ≤ 2θ ≤ 70°, by angle:
2θ = 27.06°, intensity 25; 2θ = 28.21°, intensity 48; 2θ = 29.71°, intensity 100; 2θ = 30.28°, intensity 59; 2θ = 33.10°, intensity 62; 2θ = 33.55°, intensity 21; 2θ = 34.01°, intensity 27; 2θ = 36.20°, intensity 19; 2θ = 39.54°, intensity 49; 2θ = 42.59°, intensity 23


Diffraction record for Ba3Ge4Pt. The X-ray diffraction stick pattern is computed, not measured: it uses the PBE geometry in Alexandria and CuKα.
Intensities are scaled so that the largest is 100.

Cell: 6.4505 12.1475 6.0641 Å, 90.00 90.00 90.00°
Positions (direct):
Ba: 0.2500 0.0048 0.1761
Ba: 0.2500 0.2500 0.5729
Ba: 0.2500 0.4952 0.1761
Ba: 0.7500 0.5048 0.8239
Ba: 0.7500 0.7500 0.4271
Ba: 0.7500 0.9952 0.8239
Ge: 0.0433 0.7500 0.9615
Ge: 0.2500 0.6224 0.6714
Ge: 0.2500 0.8776 0.6714
Ge: 0.4567 0.7500 0.9615
Ge: 0.5433 0.2500 0.0385
Ge: 0.7500 0.1224 0.3286
Ge: 0.7500 0.3776 0.3286
Ge: 0.9567 0.2500 0.0385
Pt: 0.2500 0.7500 0.3347
Pt: 0.7500 0.2500 0.6653

Most intense lines, 5° ≤ 2θ ≤ 70°, by angle:
2θ = 14.58°, intensity 32; 2θ = 15.55°, intensity 50; 2θ = 26.47°, intensity 34; 2θ = 27.66°, intensity 61; 2θ = 29.41°, intensity 50; 2θ = 34.80°, intensity 75; 2θ = 35.89°, intensity 100; 2θ = 38.66°, intensity 38; 2θ = 54.44°, intensity 33; 2θ = 55.73°, intensity 30


Diffraction record for BaGe2Pt. The X-ray diffraction stick pattern is computed, not measured: it uses the PBE geometry in Alexandria and CuKα.
Intensities are scaled so that the largest is 100.

Cell: 4.3070 4.3070 18.1445 Å, 90.00 90.00 120.00°
Positions (direct):
Ba: 0.0000 0.0000 0.0000
Ba: 0.3333 0.6667 0.6667
Ba: 0.6667 0.3333 0.3333
Ge: 0.0000 0.0000 0.2110
Ge: 0.0000 0.0000 0.7890
Ge: 0.3333 0.6667 0.4557
Ge: 0.3333 0.6667 0.8777
Ge: 0.6667 0.3333 0.1223
Ge: 0.6667 0.3333 0.5443
Pt: 0.0000 0.0000 0.5000
Pt: 0.3333 0.6667 0.1667
Pt: 0.6667 0.3333 0.8333

Most intense lines, 5° ≤ 2θ ≤ 70°, by angle:
2θ = 14.65°, intensity 31; 2θ = 25.83°, intensity 34; 2θ = 29.54°, intensity 22; 2θ = 31.04°, intensity 100; 2θ = 41.95°, intensity 60; 2θ = 46.88°, intensity 14; 2θ = 52.14°, intensity 27; 2θ = 53.09°, intensity 22; 2θ = 56.39°, intensity 21; 2θ = 69.87°, intensity 20


Diffraction record for Ba2Ge7Pt12. The X-ray diffraction stick pattern is computed, not measured: it uses the PBE geometry in Alexandria and CuKα.
Intensities are scaled so that the largest is 100.

Cell: 10.2833 10.2833 4.1535 Å, 90.00 90.00 120.00°
Positions (direct):
Ba: 0.0000 0.0000 0.0000
Ba: 0.3333 0.6667 0.5000
Ge: 0.0491 0.4573 0.0000
Ge: 0.2660 0.2422 0.5000
Ge: 0.4082 0.9509 0.0000
Ge: 0.5427 0.5918 0.0000
Ge: 0.6667 0.3333 0.0000
Ge: 0.7578 0.0238 0.5000
Ge: 0.9762 0.7340 0.5000
Pt: 0.0286 0.2730 0.5000
Pt: 0.1306 0.7439 0.0000
Pt: 0.2443 0.9714 0.5000
Pt: 0.2561 0.3866 0.0000
Pt: 0.3910 0.1914 0.0000
Pt: 0.5433 0.4277 0.5000
Pt: 0.5723 0.1157 0.5000
Pt: 0.6134 0.8694 0.0000
Pt: 0.7270 0.7557 0.5000
Pt: 0.8004 0.6090 0.0000
Pt: 0.8086 0.1996 0.0000
Pt: 0.8843 0.4567 0.5000

Most intense lines, 5° ≤ 2θ ≤ 70°, by angle:
2θ = 34.29°, intensity 100; 2θ = 36.37°, intensity 10; 2θ = 37.23°, intensity 11; 2θ = 41.30°, intensity 15; 2θ = 42.59°, intensity 28; 2θ = 43.58°, intensity 25; 2θ = 44.34°, intensity 17; 2θ = 46.74°, intensity 13; 2θ = 63.92°, intensity 12; 2θ = 65.82°, intensity 10